No. 1
AlAg2Au: computed XRD peak list (copper Kα), based on a cell relaxed with PBE.
Lines closer than 0.1° are merged.

Largest 10 diffraction maxima, sorted by position, 15° ≤ 2θ ≤ 90°:
2theta, I/Imax
23.85, 111
24.38, 93
29.10, 165
31.63, 181
38.32, 1000
41.63, 440
56.85, 97
60.34, 144
66.99, 132
73.77, 283

Structural model:
abc: 4.339 4.339 7.303
angles: 90.00 90.00 90.00
Element x y z (fractional)
Al 0.250 0.750 0.000
Al 0.750 0.250 0.000
Ag 0.250 0.250 0.241
Ag 0.250 0.750 0.500
Ag 0.750 0.250 0.500
Ag 0.750 0.750 0.759
Au 0.250 0.250 0.789
Au 0.750 0.750 0.211

---

No. 2
Li3Tb5Te8: computed XRD peak list (copper Kα), based on a cell relaxed with PBE.
Lines closer than 0.1° are merged.

Largest 10 diffraction maxima, sorted by position, 15° ≤ 2θ ≤ 90°:
2theta, I/Imax
24.06, 150
29.09, 1000
31.75, 80
41.55, 377
41.67, 377
51.62, 201
60.31, 125
68.25, 169
68.42, 171
76.00, 189

Structural model:
abc: 8.694 8.694 8.694
angles: 59.82 59.82 59.82
Element x y z (fractional)
Li 0.000 0.500 0.500
Li 0.500 0.000 0.500
Li 0.500 0.500 0.000
Tb 0.000 0.000 0.000
Tb 0.000 0.000 0.500
Tb 0.000 0.500 0.000
Tb 0.500 0.000 0.000
Tb 0.500 0.500 0.500
Te 0.250 0.250 0.742
Te 0.250 0.742 0.250
Te 0.253 0.253 0.253
Te 0.258 0.750 0.750
Te 0.742 0.250 0.250
Te 0.747 0.747 0.747
Te 0.750 0.258 0.750
Te 0.750 0.750 0.258

---

No. 3
NdSm4Dy15: computed XRD peak list (copper Kα), based on a cell relaxed with PBE.
Lines closer than 0.1° are merged.

Largest 10 diffraction maxima, sorted by position, 15° ≤ 2θ ≤ 90°:
2theta, I/Imax
30.72, 1000
35.62, 506
51.25, 361
60.91, 287
61.03, 142
63.97, 124
83.53, 59
83.63, 118
86.23, 111
86.41, 55

Structural model:
abc: 5.046 5.046 25.167
angles: 90.00 90.00 90.00
Element x y z (fractional)
Nd 0.000 0.000 0.000
Sm 0.000 0.000 0.200
Sm 0.000 0.000 0.400
Sm 0.000 0.000 0.600
Sm 0.000 0.000 0.800
Dy 0.000 0.500 0.100
Dy 0.000 0.500 0.300
Dy 0.000 0.500 0.500
Dy 0.000 0.500 0.700
Dy 0.000 0.500 0.900
Dy 0.500 0.000 0.100
Dy 0.500 0.000 0.300
Dy 0.500 0.000 0.500
Dy 0.500 0.000 0.700
Dy 0.500 0.000 0.900
Dy 0.500 0.500 0.000
Dy 0.500 0.500 0.200
Dy 0.500 0.500 0.400
Dy 0.500 0.500 0.600
Dy 0.500 0.500 0.800